No. 1
Simulated powder diffraction line list
Compound: RbCo2Se2
Radiation: Cu Ka
Structure: DFT lattice parameters and positions (PBE)
Lines closer than 0.1° are merged.

Structural model:
```
data_RbCo2Se2
_chemical_formula_sum 'Rb2 Co4 Se4'
_space_group_name_H-M_alt 'I 4/m m m'
_space_group_IT_number 139
_space_group_name_Hall '-I 4 2'
_cell_length_a 3.909
_cell_length_b 3.909
_cell_length_c 13.508
_cell_angle_alpha 90.00
_cell_angle_beta 90.00
_cell_angle_gamma 90.00
loop_
_atom_site_label
_atom_site_type_symbol
_atom_site_fract_x
_atom_site_fract_y
_atom_site_fract_z
Rb1 Rb 0.000 0.000 0.000
Co1 Co 0.000 0.500 0.250
Se1 Se 0.000 0.000 0.346
```

Top 6 peaks for 2θ = 10–90°, low angle first:
- 2θ 13.11, intensity 300, hkl 0 0 2
- 2θ 30.28, intensity 1000, hkl 1 0 3
- 2θ 35.08, intensity 275, hkl 1 1 2
- 2θ 46.46, intensity 348, hkl 2 0 0
- 2θ 52.42, intensity 435, hkl 1 1 6
- 2θ 56.46, intensity 330, hkl 2 1 3

---

No. 2
Simulated powder diffraction line list
Compound: Zn3PCl3O4
Radiation: Cu Ka
Structure: DFT lattice parameters and positions (PBE)
Lines closer than 0.1° are merged.

Structural model:
```
data_Zn3PCl3O4
_chemical_formula_sum 'Zn9 P3 Cl9 O12'
_space_group_name_H-M_alt 'R 3'
_space_group_IT_number 146
_space_group_name_Hall 'R 3'
_cell_length_a 12.4821
_cell_length_b 12.4821
_cell_length_c 4.4581
_cell_angle_alpha 90.00
_cell_angle_beta 90.00
_cell_angle_gamma 120.00
loop_
_atom_site_label
_atom_site_type_symbol
_atom_site_fract_x
_atom_site_fract_y
_atom_site_fract_z
Zn1 Zn 0.0161 0.8412 0.0000
P1 P 0.0000 0.0000 0.5092
Cl1 Cl 0.1808 0.3686 0.9253
O1 O 0.0000 0.0000 0.1498
O2 O 0.0494 0.9139 0.6015
```

Top 6 peaks for 2θ = 10–90°, low angle first:
- 2θ 14.19, intensity 1000, hkl 1 1 0
- 2θ 21.56, intensity 457, hkl 1 0 1
- 2θ 25.91, intensity 550, hkl 0 2 1
- 2θ 28.61, intensity 707, hkl 2 2 0
- 2θ 29.66, intensity 510, hkl 3 -1 1
- 2θ 36.10, intensity 426, hkl 4 -3 1

---

- What is the formula in the first record?
  RbCo2Se2